Entry 1:
This entry pairs a crystal structure of Na2MgH8Ir with its calculated powder diffraction line list. Radiation: Cu Kα, 1.54184 Å. Structure: a DFT-relaxed cell (PBE, Alexandria).
Neutral-atom scattering factors, no anomalous dispersion.

Principal peaks in the range 15 to 90 degrees two-theta, sorted by position:
Position (°2θ)  I (rel.)  (hkl)
16.85  49  0 0 1
19.79  100  1 0 0
26.10  65  1 0 1
34.64  47  1 1 0
38.75  36  1 1 1
39.71  46  1 0 2

Structure:
Cell: 5.1793 5.1793 5.2628 Å, 90.00 90.00 120.00°
Fractional coordinates of all 12 atoms:
1 Na 0.3333 0.6667 0.3572
2 Na 0.6667 0.3333 0.6428
3 Mg 0.0000 0.0000 0.0000
4 H 0.1524 0.3048 0.6880
5 H 0.1524 0.8476 0.6880
6 H 0.3048 0.1524 0.3120
7 H 0.3333 0.6667 0.9422
8 H 0.6667 0.3333 0.0578
9 H 0.6952 0.8476 0.6880
10 H 0.8476 0.1524 0.3120
11 H 0.8476 0.6952 0.3120
12 Ir 0.0000 0.0000 0.5000

Entry 2:
This entry pairs a crystal structure of LaY3Tm2 with its calculated powder diffraction line list. Radiation: Cu Kα, 1.54184 Å. Structure: a DFT-relaxed cell (PBE, Alexandria).
Neutral-atom scattering factors, no anomalous dispersion.

Principal peaks in the range 15 to 90 degrees two-theta, sorted by position:
Position (°2θ)  I (rel.)  (hkl)
28.83  36  1 2 -1
31.10  52  0 0 3
31.85  100  2 0 1
33.54  95  2 0 -2
50.71  27  3 2 -1
60.67  46  3 2 2

Structure:
Cell: 6.2405 7.2011 8.8736 Å, 101.69 96.70 90.05°
Fractional coordinates of all 12 atoms:
1 La 0.2470 0.3772 0.0060
2 La 0.7530 0.6228 0.9940
3 Y 0.2484 0.8768 0.0017
4 Y 0.3576 0.5411 0.6616
5 Y 0.3595 0.0403 0.6624
6 Y 0.6405 0.9597 0.3376
7 Y 0.6424 0.4589 0.3384
8 Y 0.7516 0.1232 0.9983
9 Tm 0.1379 0.2075 0.3379
10 Tm 0.1387 0.7106 0.3371
11 Tm 0.8613 0.2894 0.6629
12 Tm 0.8621 0.7925 0.6621

Entry 3:
This entry pairs a crystal structure of MgCd4Hg2 with its calculated powder diffraction line list. Radiation: Cu Kα, 1.54184 Å. Structure: a DFT-relaxed cell (PBE, Alexandria).
Neutral-atom scattering factors, no anomalous dispersion.

Principal peaks in the range 15 to 90 degrees two-theta, sorted by position:
Position (°2θ)  I (rel.)  (hkl)
28.31  27  2 2 0
29.53  27  0 2 1
36.46  100  2 0 1
36.90  82  2 4 0
37.86  93  0 4 1
67.19  30  2 4 2

Structure:
Cell: 7.1601 13.2970 3.3975 Å, 90.00 90.00 90.00°
Fractional coordinates of all 14 atoms:
1 Mg 0.0000 0.0000 0.0000
2 Mg 0.5000 0.5000 0.0000
3 Cd 0.0200 0.2315 0.0000
4 Cd 0.1945 0.6129 0.5000
5 Cd 0.3055 0.1129 0.5000
6 Cd 0.4800 0.7315 0.0000
7 Cd 0.5200 0.2685 0.0000
8 Cd 0.6945 0.8871 0.5000
9 Cd 0.8055 0.3871 0.5000
10 Cd 0.9800 0.7685 0.0000
11 Hg 0.2227 0.3918 0.5000
12 Hg 0.2773 0.8918 0.5000
13 Hg 0.7227 0.1082 0.5000
14 Hg 0.7773 0.6082 0.5000